Calculated powder XRD pattern
Compound: Ti5S8
Radiation: Cu Kα X-rays
Structure: a DFT-relaxed cell (GGA-PBE, Alexandria)

Principal peaks in the range 2θ from 15° to 90°, in order of rising 2θ:
Position (°2θ)	I (rel.)	index
32.73	49	1 1 -2
34.75	87	1 1 2
34.98	40	2 0 -3
35.85	30	2 0 2
36.31	60	1 1 -3
39.07	100	1 1 3
39.40	50	2 0 -4
46.04	26	2 0 4
46.63	47	1 1 -5
50.39	24	1 1 5
53.46	82	3 1 -1
53.68	43	0 2 0

Structure:
```
data_Ti5S8
_chemical_formula_sum 'Ti5 S8'
_cell_length_a 5.9451
_cell_length_b 3.4148
_cell_length_c 12.2751
_cell_angle_alpha 90.00
_cell_angle_beta 98.49
_cell_angle_gamma 90.00
_space_group_name_H-M_alt 'P 1 m 1'
_space_group_IT_number 6
loop_
_space_group_symop_operation_xyz
'x,y,z'
'x,-y,z'
loop_
_atom_site_label
_atom_site_type_symbol
_atom_site_fract_x
_atom_site_fract_y
_atom_site_fract_z
Ti1 Ti 0.0000 0.0000 0.0000
Ti2 Ti 0.0058 0.5000 0.5203
Ti3 Ti 0.0828 0.5000 0.7762
Ti4 Ti 0.4879 0.0000 0.5209
Ti5 Ti 0.5027 0.5000 0.0073
S1 S 0.1283 0.0000 0.4029
S2 S 0.1972 0.5000 0.1172
S3 S 0.3037 0.0000 0.8803
S4 S 0.3670 0.5000 0.6445
S5 S 0.6303 0.5000 0.4101
S6 S 0.7022 0.0000 0.1214
S7 S 0.7813 0.5000 0.8813
S8 S 0.8701 0.0000 0.6476
```

Calculated powder XRD pattern
Compound: Ti2PtS
Radiation: Cu Kα X-rays
Structure: a DFT-relaxed cell (GGA-PBE, Alexandria)

Principal peaks in the range 2θ from 15° to 90°, in order of rising 2θ:
Position (°2θ)	I (rel.)	index
19.73	73	1 0 1
26.90	28	2 0 0
33.58	54	2 1 1
35.00	100	1 1 2
38.40	64	2 2 0
43.54	17	3 0 1
46.54	11	1 0 3
52.93	59	3 1 2
54.57	11	2 1 3
55.44	21	4 0 0
67.32	38	2 0 4
80.20	17	5 1 2

Structure:
```
data_Ti2PtS
_chemical_formula_sum 'Ti8 Pt4 S4'
_cell_length_a 6.6296
_cell_length_b 6.6296
_cell_length_c 6.1253
_cell_angle_alpha 90.00
_cell_angle_beta 90.00
_cell_angle_gamma 90.00
_space_group_name_H-M_alt 'I -4 2 d'
_space_group_IT_number 122
_space_group_name_Hall 'I -4 2bw'
loop_
_atom_site_label
_atom_site_type_symbol
_atom_site_fract_x
_atom_site_fract_y
_atom_site_fract_z
Ti1 Ti 0.2252 0.7500 0.1250
Pt1 Pt 0.0000 0.0000 0.5000
S1 S 0.0000 0.0000 0.0000
```

Calculated powder XRD pattern
Compound: LiU4Se5
Radiation: Cu Kα X-rays
Structure: a DFT-relaxed cell (GGA-PBE, Alexandria)

Principal peaks in the range 2θ from 15° to 90°, in order of rising 2θ:
Position (°2θ)	I (rel.)	index
25.78	8	0 0 15
27.50	21	0 1 5
31.37	100	1 0 10
43.85	39	0 1 20
46.04	35	1 1 0
52.99	7	0 0 30
53.51	7	1 1 15
56.77	19	0 2 10
65.46	12	2 0 20
72.78	18	1 1 30
75.99	17	2 1 10
83.72	13	1 2 20

Structure:
```
data_LiU4Se5
_chemical_formula_sum 'Li3 U12 Se15'
_cell_length_a 3.9427
_cell_length_b 3.9427
_cell_length_c 51.8388
_cell_angle_alpha 90.00
_cell_angle_beta 90.00
_cell_angle_gamma 120.00
_space_group_name_H-M_alt 'R -3 m'
_space_group_IT_number 166
_space_group_name_Hall '-R 3 2"'
loop_
_atom_site_label
_atom_site_type_symbol
_atom_site_fract_x
_atom_site_fract_y
_atom_site_fract_z
Li1 Li 0.0000 0.0000 0.0000
U1 U 0.0000 0.0000 0.2006
U2 U 0.0000 0.0000 0.3984
Se1 Se 0.0000 0.0000 0.0989
Se2 Se 0.0000 0.0000 0.3026
Se3 Se 0.0000 0.0000 0.5000
```

Calculated powder XRD pattern
Compound: Al4Tc2Au
Radiation: Cu Kα X-rays
Structure: a DFT-relaxed cell (GGA-PBE, Alexandria)

Principal peaks in the range 2θ from 15° to 90°, in order of rising 2θ:
Position (°2θ)	I (rel.)	index
20.49	92	1 0 1
28.41	23	0 0 2
29.85	41	2 0 0
36.49	45	2 1 1
41.68	100	2 0 2
42.73	47	2 2 0
52.11	17	2 2 2
55.73	13	2 1 3
57.41	12	3 2 1
62.02	15	4 0 0
75.36	17	2 2 4
77.53	32	4 2 2

Structure:
```
data_Al4Tc2Au
_chemical_formula_sum 'Al8 Tc4 Au2'
_cell_length_a 5.9855
_cell_length_b 5.9855
_cell_length_c 6.2831
_cell_angle_alpha 90.00
_cell_angle_beta 90.00
_cell_angle_gamma 90.00
_space_group_name_H-M_alt 'I 4/m m m'
_space_group_IT_number 139
_space_group_name_Hall '-I 4 2'
loop_
_atom_site_label
_atom_site_type_symbol
_atom_site_fract_x
_atom_site_fract_y
_atom_site_fract_z
Al1 Al 0.2500 0.2500 0.2500
Tc1 Tc 0.0000 0.5000 0.0000
Au1 Au 0.0000 0.0000 0.0000
```

Calculated powder XRD pattern
Compound: Ba2CdGe10
Radiation: Cu Kα X-rays
Structure: a DFT-relaxed cell (GGA-PBE, Alexandria)

Principal peaks in the range 2θ from 15° to 90°, in order of rising 2θ:
Position (°2θ)	I (rel.)	index
28.13	30	2 4 0
29.31	36	3 2 2
30.44	100	2 4 2
32.56	10	0 4 4
33.60	12	0 5 3
34.64	9	3 3 3
48.28	28	0 8 2
48.37	7	5 3 3
49.01	9	1 2 8
49.77	17	0 6 6
51.22	28	2 8 2
51.33	16	5 1 5

Structure:
```
data_Ba2CdGe10
_chemical_formula_sum 'Ba16 Cd8 Ge80'
_cell_length_a 10.9626
_cell_length_b 15.5543
_cell_length_c 15.5595
_cell_angle_alpha 90.00
_cell_angle_beta 90.00
_cell_angle_gamma 90.00
_space_group_name_H-M_alt 'A m a 2'
_space_group_IT_number 40
loop_
_space_group_symop_operation_xyz
'x,y,z'
'-x,-y,z'
'-x+1/2,y,z'
'x+1/2,-y,z'
'x,y+1/2,z+1/2'
'-x,-y+1/2,z+1/2'
'-x+1/2,y+1/2,z+1/2'
'x+1/2,-y+1/2,z+1/2'
loop_
_atom_site_label
_atom_site_type_symbol
_atom_site_fract_x
_atom_site_fract_y
_atom_site_fract_z
Ba1 Ba 0.0000 0.0000 0.0000
Ba2 Ba 0.2500 0.1206 0.6422
Ba3 Ba 0.2500 0.2515 0.2538
Ba4 Ba 0.2500 0.3687 0.8773
Cd1 Cd 0.0000 0.0000 0.5048
Cd2 Cd 0.2500 0.3742 0.6276
Ge1 Ge 0.0511 0.3038 0.6987
Ge2 Ge 0.0624 0.2530 0.4345
Ge3 Ge 0.0664 0.4324 0.2582
Ge4 Ge 0.0669 0.0671 0.2534
Ge5 Ge 0.0714 0.2459 0.0687
Ge6 Ge 0.0758 0.1871 0.8159
Ge7 Ge 0.1353 0.1002 0.4055
Ge8 Ge 0.1352 0.3995 0.1040
Ge9 Ge 0.2500 0.0444 0.1562
Ge10 Ge 0.2500 0.1472 0.0266
Ge11 Ge 0.2500 0.3479 0.4574
Ge12 Ge 0.2500 0.4758 0.3534
```

Calculated powder XRD pattern
Compound: CeB6N6
Radiation: Cu Kα X-rays
Structure: a DFT-relaxed cell (GGA-PBE, Alexandria)

Principal peaks in the range 2θ from 15° to 90°, in order of rising 2θ:
Position (°2θ)	I (rel.)	index
18.90	100	1 0 0
26.86	36	1 1 0
33.05	30	1 1 1
38.35	27	2 0 0
43.08	48	2 0 1
47.44	56	2 1 1
59.03	23	2 2 1
62.57	9	3 1 0
66.00	13	3 1 1
72.61	9	3 2 0
75.82	26	3 1 2
85.23	13	4 1 0

Structure:
```
data_CeB6N6
_chemical_formula_sum 'Ce1 B6 N6'
_cell_length_a 4.6947
_cell_length_b 4.6947
_cell_length_c 4.6947
_cell_angle_alpha 90.00
_cell_angle_beta 90.00
_cell_angle_gamma 90.00
_space_group_name_H-M_alt 'P m -3'
_space_group_IT_number 200
_space_group_name_Hall '-P 2 2 3'
loop_
_atom_site_label
_atom_site_type_symbol
_atom_site_fract_x
_atom_site_fract_y
_atom_site_fract_z
Ce1 Ce 0.0000 0.0000 0.0000
B1 B 0.0000 0.2355 0.5000
N1 N 0.0000 0.5000 0.2483
```

Calculated powder XRD pattern
Compound: Pa2CdO7
Radiation: Cu Kα X-rays
Structure: a DFT-relaxed cell (GGA-PBE, Alexandria)

Principal peaks in the range 2θ from 15° to 90°, in order of rising 2θ:
Position (°2θ)	I (rel.)	index
16.60	73	0 0 2
25.01	99	0 0 3
26.80	69	1 1 0
27.15	98	2 0 0
27.41	100	1 1 -1
30.45	70	1 1 -2
32.89	78	1 1 2
33.95	39	2 0 -3
47.11	35	0 2 0
47.30	93	3 1 -1
48.69	58	1 1 -5
55.22	34	2 2 0

Structure:
```
data_Pa2CdO7
_chemical_formula_sum 'Pa4 Cd2 O14'
_cell_length_a 6.6550
_cell_length_b 3.8584
_cell_length_c 10.8303
_cell_angle_alpha 90.00
_cell_angle_beta 99.51
_cell_angle_gamma 90.00
_space_group_name_H-M_alt 'C 1 2/m 1'
_space_group_IT_number 12
loop_
_space_group_symop_operation_xyz
'x,y,z'
'-x,-y,-z'
'-x,y,-z'
'x,-y,z'
'x+1/2,y+1/2,z'
'-x+1/2,-y+1/2,-z'
'-x+1/2,y+1/2,-z'
'x+1/2,-y+1/2,z'
loop_
_atom_site_label
_atom_site_type_symbol
_atom_site_fract_x
_atom_site_fract_y
_atom_site_fract_z
Pa1 Pa 0.0535 0.0000 0.2003
Cd1 Cd 0.0000 0.5000 0.5000
O1 O 0.0000 0.0000 0.0000
O2 O 0.0956 0.5000 0.7322
O3 O 0.1285 0.0000 0.4200
O4 O 0.2074 0.5000 0.1530
```

Calculated powder XRD pattern
Compound: TaHg
Radiation: Cu Kα X-rays
Structure: a DFT-relaxed cell (GGA-PBE, Alexandria)

Principal peaks in the range 2θ from 15° to 90°, in order of rising 2θ:
Position (°2θ)	I (rel.)	index
28.13	2	0 0 3
36.91	100	1 1 2
37.83	46	0 2 0
47.80	2	0 0 5
51.77	10	2 0 0
54.57	15	0 2 4
58.40	2	1 1 5
65.88	18	2 2 0
67.71	32	1 3 2
78.55	11	2 2 4
80.84	5	0 4 0
87.87	9	3 1 2

Structure:
```
data_TaHg
_chemical_formula_sum 'Ta4 Hg4'
_cell_length_a 3.5315
_cell_length_b 4.7542
_cell_length_c 9.5176
_cell_angle_alpha 90.00
_cell_angle_beta 90.00
_cell_angle_gamma 90.00
_space_group_name_H-M_alt 'C m m e'
_space_group_IT_number 67
_space_group_name_Hall '-C 2a 2'
loop_
_atom_site_label
_atom_site_type_symbol
_atom_site_fract_x
_atom_site_fract_y
_atom_site_fract_z
Ta1 Ta 0.0000 0.2500 0.1129
Hg1 Hg 0.0000 0.2500 0.6362
```

Calculated powder XRD pattern
Compound: Cs2HoBr5
Radiation: Cu Kα X-rays
Structure: a DFT-relaxed cell (GGA-PBE, Alexandria)

Principal peaks in the range 2θ from 15° to 90°, in order of rising 2θ:
Position (°2θ)	I (rel.)	index
19.87	55	0 1 3
20.50	48	2 0 2
22.44	44	0 2 0
26.50	39	1 2 2
28.05	47	2 0 4
28.85	69	1 0 5
29.01	78	2 2 1
29.26	52	1 2 3
30.58	100	2 2 2
33.04	70	2 2 3
45.37	65	4 2 3
45.79	39	0 4 0

Structure:
```
data_Cs2HoBr5
_chemical_formula_sum 'Cs8 Ho4 Br20'
_cell_length_a 10.2444
_cell_length_b 7.9256
_cell_length_c 16.2327
_cell_angle_alpha 90.00
_cell_angle_beta 90.00
_cell_angle_gamma 90.00
_space_group_name_H-M_alt 'P n m a'
_space_group_IT_number 62
loop_
_space_group_symop_operation_xyz
'x,y,z'
'-x,-y,-z'
'-x+1/2,-y,z+1/2'
'x+1/2,y,-z+1/2'
'x+1/2,-y+1/2,-z+1/2'
'-x+1/2,y+1/2,z+1/2'
'-x,y+1/2,-z'
'x,-y+1/2,z'
loop_
_atom_site_label
_atom_site_type_symbol
_atom_site_fract_x
_atom_site_fract_y
_atom_site_fract_z
Cs1 Cs 0.0324 0.2500 0.2065
Cs2 Cs 0.1704 0.7500 0.4147
Ho1 Ho 0.1825 0.7500 0.0630
Br1 Br 0.0000 0.0000 0.0000
Br2 Br 0.0274 0.7500 0.2016
Br3 Br 0.1601 0.5043 0.6154
Br4 Br 0.2148 0.2500 0.4030
```

Calculated powder XRD pattern
Compound: BeZnH2S
Radiation: Cu Kα X-rays
Structure: a DFT-relaxed cell (GGA-PBE, Alexandria)

Principal peaks in the range 2θ from 15° to 90°, in order of rising 2θ:
Position (°2θ)	I (rel.)	index
21.17	23	0 0 1
21.93	33	1 0 0
22.16	100	1 0 -1
26.61	13	0 1 0
34.25	57	0 1 1
34.74	49	1 1 0
37.42	15	1 0 1
45.22	13	2 0 -2
46.51	19	1 1 1
46.87	27	1 1 -2
48.00	21	2 1 -1
66.88	12	0 0 3

Structure:
```
data_BeZnH2S
_chemical_formula_sum 'Be1 Zn1 H2 S1'
_cell_length_a 4.5975
_cell_length_b 3.3499
_cell_length_c 4.7594
_cell_angle_alpha 90.00
_cell_angle_beta 118.16
_cell_angle_gamma 90.00
_space_group_name_H-M_alt 'P 1 m 1'
_space_group_IT_number 6
loop_
_space_group_symop_operation_xyz
'x,y,z'
'x,-y,z'
loop_
_atom_site_label
_atom_site_type_symbol
_atom_site_fract_x
_atom_site_fract_y
_atom_site_fract_z
Be1 Be 0.0000 0.0000 0.0000
Zn1 Zn 0.3380 0.0000 0.6363
H1 H 0.2979 0.0000 0.9603
H2 H 0.7140 0.0000 0.6765
S1 S 0.9880 0.5000 0.2630
```

Calculated powder XRD pattern
Compound: CsPmI
Radiation: Cu Kα X-rays
Structure: a DFT-relaxed cell (GGA-PBE, Alexandria)

Principal peaks in the range 2θ from 15° to 90°, in order of rising 2θ:
Position (°2θ)	I (rel.)	index
24.26	17	0 1 1
24.60	24	0 0 2
24.77	14	1 1 1
26.26	15	2 1 1
28.59	100	3 1 1
28.88	22	3 0 2
31.84	24	4 0 2
35.08	20	5 1 1
35.33	13	5 0 2
38.99	16	6 1 1
42.47	15	0 2 0
43.41	25	1 1 3

Structure:
```
data_CsPmI
_chemical_formula_sum 'Cs4 Pm4 I4'
_cell_length_a 17.8418
_cell_length_b 4.2565
_cell_length_c 7.2371
_cell_angle_alpha 90.00
_cell_angle_beta 90.00
_cell_angle_gamma 90.00
_space_group_name_H-M_alt 'A m m 2'
_space_group_IT_number 38
loop_
_space_group_symop_operation_xyz
'x,y,z'
'-x,-y,z'
'-x,y,z'
'x,-y,z'
'x,y+1/2,z+1/2'
'-x,-y+1/2,z+1/2'
'-x,y+1/2,z+1/2'
'x,-y+1/2,z+1/2'
loop_
_atom_site_label
_atom_site_type_symbol
_atom_site_fract_x
_atom_site_fract_y
_atom_site_fract_z
Cs1 Cs 0.1562 0.0000 0.0000
Pm1 Pm 0.3798 0.0000 0.4462
I1 I 0.0000 0.0000 0.3384
I2 I 0.5000 0.0000 0.1101
```

Calculated powder XRD pattern
Compound: Nd6Dy2Er3
Radiation: Cu Kα X-rays
Structure: a DFT-relaxed cell (GGA-PBE, Alexandria)

Principal peaks in the range 2θ from 15° to 90°, in order of rising 2θ:
Position (°2θ)	I (rel.)	index
29.18	8	1 0 10
31.06	82	0 1 11
31.28	100	1 1 0
42.13	6	1 1 12
44.67	30	2 0 11
55.13	8	1 0 22
55.54	32	1 2 11
55.68	20	3 0 0
59.43	9	1 1 21
65.26	12	2 2 0
73.68	7	2 1 22
74.03	14	3 1 11

Structure:
```
data_Nd6Dy2Er3
_chemical_formula_sum 'Nd18 Dy6 Er9'
_cell_length_a 5.7187
_cell_length_b 5.7187
_cell_length_c 38.9221
_cell_angle_alpha 90.00
_cell_angle_beta 90.00
_cell_angle_gamma 120.00
_space_group_name_H-M_alt 'R -3 m'
_space_group_IT_number 166
_space_group_name_Hall '-R 3 2"'
loop_
_atom_site_label
_atom_site_type_symbol
_atom_site_fract_x
_atom_site_fract_y
_atom_site_fract_z
Nd1 Nd 0.0000 0.0000 0.0899
Nd2 Nd 0.0000 0.0000 0.1868
Nd3 Nd 0.0000 0.0000 0.3732
Dy1 Dy 0.0000 0.0000 0.4590
Er1 Er 0.0000 0.0000 0.0000
Er2 Er 0.0000 0.0000 0.2829
```